1.
The following is a simulated XRD peak list of Li2FeWO6. It was derived from a crystal structure in Alexandria, relaxed with PBE+U, using λ = 1.5418 Å (Cu Kα).
Peak positions follow from Bragg's law for the DFT cell and can differ from measured ones.

Peak list (6 most intense, 10° ≤ 2θ ≤ 90°, by intensity)
- 2θ 23.90, intensity 100
- 2θ 33.02, intensity 39
- 2θ 21.06, intensity 33
- 2θ 53.76, intensity 27
- 2θ 35.06, intensity 26
- 2θ 48.93, intensity 18

Crystal structure
```
Li2FeWO6
1.0
2.5593 1.4776 4.5732
-2.5593 1.4776 4.5732
0.0000 -2.9552 4.5732
Li Fe W O
2 1 1 6
Cartesian
0.0000 0.0000 0.0000
0.0000 0.0000 6.8539
0.0000 0.0000 9.7811
0.0000 0.0000 2.9221
-1.9393 0.0726 6.1996
-0.6383 -1.4575 8.4600
0.9067 -1.7158 6.1996
-0.9431 1.2815 8.4600
1.0325 1.6431 6.1996
1.5814 0.1760 8.4600
```


2.
The following is a simulated XRD peak list of Li9Fe3W7O28. It was derived from a crystal structure in Alexandria, relaxed with PBE+U, using λ = 1.5418 Å (Cu Kα).
Peak positions follow from Bragg's law for the DFT cell and can differ from measured ones.

Peak list (6 most intense, 10° ≤ 2θ ≤ 90°, by intensity)
- 2θ 10.35, intensity 100
- 2θ 31.42, intensity 100
- 2θ 18.00, intensity 83
- 2θ 25.56, intensity 68
- 2θ 17.89, intensity 62
- 2θ 33.15, intensity 47

Crystal structure
```
Li9Fe3W7O28
1.0
6.0307 3.4818 4.9582
-6.0307 3.4818 4.9582
0.0000 -6.9637 4.9582
Li Fe W O
9 3 7 28
Cartesian
-1.5687 -4.0691 4.9582
-4.3083 0.6760 4.9582
1.5687 -4.0691 4.9582
-2.7396 3.3931 4.9582
-1.5880 -0.9168 9.3239
1.5880 -0.9168 9.3239
0.0000 1.8337 9.3239
4.3083 0.6760 4.9582
2.7396 3.3931 4.9582
0.0000 3.7204 12.2199
3.2220 -1.8602 12.2199
-3.2220 -1.8602 12.2199
-4.3237 -2.4963 7.1703
0.0000 0.0000 0.1067
0.0000 -3.4806 7.8880
-3.0143 1.7403 7.8880
4.3237 -2.4963 7.1703
0.0000 4.9925 7.1703
3.0143 1.7403 7.8880
-3.1965 -1.8455 8.4306
-4.5235 -2.6117 10.7598
-1.5001 -4.3338 8.5006
-4.5032 0.8677 8.5006
0.0000 -3.4795 6.0875
-3.0133 1.7397 6.0875
0.0000 -1.7892 8.5048
-1.5495 0.8946 8.5048
1.5001 -4.3338 8.5006
-3.0031 3.4660 8.5006
-1.4484 -2.4330 11.0758
-2.8312 -0.0379 11.0758
3.0133 1.7397 6.0875
3.1965 -1.8455 8.4306
1.5495 0.8946 8.5048
0.0000 3.6910 8.4306
-1.3527 -0.7810 13.3287
1.4484 -2.4330 11.0758
-1.3828 2.4709 11.0758
0.0000 0.0000 11.2352
1.3527 -0.7810 13.3287
0.0000 1.5620 13.3287
4.5235 -2.6117 10.7597
0.0000 5.2233 10.7597
2.8312 -0.0379 11.0758
1.3828 2.4709 11.0758
4.5032 0.8677 8.5006
3.0031 3.4660 8.5006
```


3.
The following is a simulated XRD peak list of Li11FeW7O28. It was derived from a crystal structure in Alexandria, relaxed with PBE+U, using λ = 1.5418 Å (Cu Kα).
Peak positions follow from Bragg's law for the DFT cell and can differ from measured ones.

Peak list (6 most intense, 10° ≤ 2θ ≤ 90°, by intensity)
- 2θ 10.39, intensity 100
- 2θ 18.01, intensity 95
- 2θ 18.10, intensity 78
- 2θ 25.70, intensity 65
- 2θ 31.62, intensity 61
- 2θ 25.57, intensity 39

Crystal structure
```
Li11FeW7O28
1.0
6.0497 -6.0061 0.0000
6.0497 6.0061 0.0000
-0.0452 0.0000 8.4777
Li Fe W O
11 1 7 28
Cartesian
0.0000 0.0000 0.0000
7.5282 4.4422 2.3079
5.7541 2.6018 4.8223
8.5937 3.3933 4.7582
6.8484 1.5624 2.3546
5.7541 -2.6018 4.8223
6.8484 -1.5624 2.3546
10.2352 1.7716 6.9266
7.5282 -4.4422 2.3079
8.5937 -3.3933 4.7582
10.2352 -1.7716 6.9266
8.6537 0.0000 0.2641
4.1576 0.0000 3.5067
7.1925 2.9479 7.7719
10.1945 1.7365 2.3890
8.4479 0.0000 4.7322
7.1925 -2.9479 7.7719
10.1945 -1.7365 2.3890
11.9387 0.0000 4.7027
5.5643 3.1611 2.4196
6.9738 4.5654 4.4785
2.6650 0.0000 2.4760
4.1593 1.4907 4.5402
7.1752 4.4125 0.3414
5.7091 2.9658 6.7524
8.6435 3.0148 6.7149
5.6489 0.0000 2.4738
4.1593 -1.4907 4.5402
7.2976 1.3908 0.3253
8.7571 2.8263 2.5434
7.3445 1.4233 4.5203
7.2976 -1.3908 0.3253
5.7091 -2.9658 6.7524
5.5643 -3.1611 2.4196
10.0725 1.3079 0.5142
7.3445 -1.4233 4.5203
8.7975 0.0000 6.5381
8.8424 0.0000 2.5910
10.1832 1.3161 4.4112
10.0725 -1.3079 0.5142
11.4776 0.0000 2.5924
10.1832 -1.3161 4.4112
6.9738 -4.5654 4.4785
8.7571 -2.8263 2.5434
11.5853 0.0000 6.4959
7.1752 -4.4125 0.3414
8.6435 -3.0148 6.7149
```